Starting from a cell relaxed with GGA+U, the powder diffraction line list of Sr7W4O19 was simulated for CuKα.
Peak positions follow from Bragg's law for the DFT cell and can differ from measured ones.

Crystal structure
```
data_Sr7W4O19
_cell_length_a 7.5301
_cell_length_b 7.5301
_cell_length_c 10.6055
_cell_angle_alpha 97.51
_cell_angle_beta 97.51
_cell_angle_gamma 44.32
_space_group_name_H-M_alt 'P 1'
_space_group_IT_number 1
loop_
_space_group_symop_operation_xyz
'x,y,z'
loop_
_atom_site_label
_atom_site_type_symbol
_atom_site_fract_x
_atom_site_fract_y
_atom_site_fract_z
Sr1 Sr 0.0000 0.0000 0.0000
Sr2 Sr 0.0864 0.0864 0.6597
Sr3 Sr 0.2898 0.2898 0.9151
Sr4 Sr 0.3587 0.3587 0.5438
Sr5 Sr 0.6413 0.6413 0.4562
Sr6 Sr 0.7101 0.7101 0.0849
Sr7 Sr 0.9136 0.9136 0.3403
W1 W 0.1726 0.1726 0.2817
W2 W 0.4658 0.4658 0.1808
W3 W 0.5342 0.5342 0.8192
W4 W 0.8274 0.8274 0.7183
O1 O 0.0151 0.4984 0.3484
O2 O 0.0982 0.0982 0.4269
O3 O 0.1322 0.6264 0.1307
O4 O 0.1865 0.6676 0.7874
O5 O 0.1972 0.1972 0.1109
O6 O 0.3324 0.8135 0.2126
O7 O 0.3736 0.8678 0.8693
O8 O 0.4556 0.4556 0.3567
O9 O 0.4984 0.0151 0.3484
O10 O 0.5000 0.5000 0.0000
O11 O 0.5016 0.9849 0.6516
O12 O 0.5444 0.5444 0.6433
O13 O 0.6264 0.1322 0.1307
O14 O 0.6676 0.1865 0.7874
O15 O 0.8028 0.8028 0.8891
O16 O 0.8135 0.3324 0.2126
O17 O 0.8678 0.3736 0.8693
O18 O 0.9018 0.9018 0.5731
O19 O 0.9849 0.5016 0.6516
```

The 10 most intense peaks (15 to 90 degrees two-theta), low angle first:
2θ (°), I/Imax
16.89, 16
19.29, 17
28.33, 43
28.62, 83
31.48, 100
42.87, 43
43.23, 20
48.46, 19
54.33, 15
54.45, 15